Record 1
Starting from a crystal structure in Alexandria, relaxed with GGA-PBE, the X-ray powder pattern of La2NdS3 was calculated for CuKα.
No peak broadening, texture or thermal motion is included.

Crystal structure
Lattice parameters (Å, degrees): 13.6164 12.9820 7.1637 79.33 69.54 31.13
Element x y z (fractional)
La (0.0418, 0.0418, 0.2082)
La (0.1248, 0.1248, 0.6252)
La (0.2082, 0.2082, 0.0418)
La (0.3748, 0.3748, 0.8752)
La (0.6252, 0.6252, 0.1248)
La (0.7918, 0.7918, 0.9582)
La (0.8752, 0.8752, 0.3748)
La (0.9582, 0.9582, 0.7918)
Nd (0.2916, 0.2916, 0.4584)
Nd (0.4584, 0.4584, 0.2916)
Nd (0.5416, 0.5416, 0.7084)
Nd (0.7084, 0.7084, 0.5416)
S (0.0409, 0.5412, 0.2126)
S (0.1288, 0.6212, 0.6212)
S (0.2126, 0.7053, 0.0409)
S (0.2947, 0.7874, 0.4588)
S (0.3788, 0.8712, 0.8712)
S (0.4588, 0.9591, 0.2947)
S (0.5412, 0.0409, 0.7053)
S (0.6212, 0.1288, 0.1288)
S (0.7053, 0.2126, 0.5412)
S (0.7874, 0.2947, 0.9591)
S (0.8712, 0.3788, 0.3788)
S (0.9591, 0.4588, 0.7874)

Top 10 peaks for 2θ from 10° to 90°, sorted by position:
- d = 3.383 Å, rel. 35.9
- d = 3.356 Å, rel. 35.2
- d = 2.918 Å, rel. 100.0
- d = 2.075 Å, rel. 12.3
- d = 2.063 Å, rel. 48.4
- d = 2.050 Å, rel. 11.9
- d = 1.764 Å, rel. 18.0
- d = 1.753 Å, rel. 11.8
- d = 1.691 Å, rel. 12.8
- d = 1.678 Å, rel. 12.5

---

Record 2
Starting from a crystal structure in Alexandria, relaxed with GGA-PBE, the X-ray powder pattern of Rh4Se was calculated for CuKα.
No peak broadening, texture or thermal motion is included.

Crystal structure
Lattice parameters (Å, degrees): 5.9812 5.9812 4.1275 90.00 90.00 90.00
Element x y z (fractional)
Rh (0.1161, 0.3103, 0.0000)
Rh (0.1897, 0.6161, 0.5000)
Rh (0.3103, 0.8839, 0.0000)
Rh (0.3839, 0.1897, 0.5000)
Rh (0.6161, 0.8103, 0.5000)
Rh (0.6897, 0.1161, 0.0000)
Rh (0.8103, 0.3839, 0.5000)
Rh (0.8839, 0.6897, 0.0000)
Se (0.0000, 0.0000, 0.5000)
Se (0.5000, 0.5000, 0.0000)

Top 10 peaks for 2θ from 10° to 90°, sorted by position:
- d = 4.229 Å, rel. 1.5
- d = 2.245 Å, rel. 100.0
- d = 2.064 Å, rel. 19.3
- d = 1.891 Å, rel. 28.0
- d = 1.394 Å, rel. 20.2
- d = 1.369 Å, rel. 1.5
- d = 1.337 Å, rel. 8.1
- d = 1.223 Å, rel. 13.7
- d = 1.149 Å, rel. 19.8
- d = 1.122 Å, rel. 9.5

---

Record 3
Starting from a crystal structure in Alexandria, relaxed with GGA-PBE, the X-ray powder pattern of CsTiClF3 was calculated for CuKα.
No peak broadening, texture or thermal motion is included.

Crystal structure
Lattice parameters (Å, degrees): 8.9445 8.9445 5.1626 103.91 103.91 129.55
Element x y z (fractional)
Cs (0.0956, 0.9044, 0.7500)
Cs (0.9044, 0.0956, 0.2500)
Ti (0.2923, 0.7077, 0.2500)
Ti (0.7077, 0.2923, 0.7500)
Cl (0.3059, 0.6941, 0.7500)
Cl (0.6941, 0.3059, 0.2500)
F (0.0089, 0.6390, 0.0308)
F (0.3610, 0.9911, 0.4692)
F (0.4073, 0.5927, 0.2500)
F (0.5927, 0.4073, 0.7500)
F (0.6390, 0.0089, 0.5308)
F (0.9911, 0.3610, 0.9692)

Top 10 peaks for 2θ from 10° to 90°, sorted by position:
- d = 8.092 Å, rel. 37.1
- d = 5.867 Å, rel. 76.7
- d = 3.772 Å, rel. 100.0
- d = 3.712 Å, rel. 96.3
- d = 3.387 Å, rel. 60.7
- d = 3.148 Å, rel. 77.2
- d = 2.878 Å, rel. 83.3
- d = 2.742 Å, rel. 36.4
- d = 2.557 Å, rel. 69.7
- d = 1.974 Å, rel. 32.9

---

Record 4
Starting from a crystal structure in Alexandria, relaxed with GGA-PBE, the X-ray powder pattern of U2Ga10CoNi was calculated for CuKα.
No peak broadening, texture or thermal motion is included.

Crystal structure
Lattice parameters (Å, degrees): 4.2459 4.2459 13.5280 90.00 90.00 90.00
Element x y z (fractional)
U (0.0000, 0.0000, 0.2484)
U (0.0000, 0.0000, 0.7516)
Ga (0.0000, 0.5000, 0.0959)
Ga (0.0000, 0.5000, 0.4018)
Ga (0.0000, 0.5000, 0.5982)
Ga (0.0000, 0.5000, 0.9041)
Ga (0.5000, 0.0000, 0.0959)
Ga (0.5000, 0.0000, 0.4018)
Ga (0.5000, 0.0000, 0.5982)
Ga (0.5000, 0.0000, 0.9041)
Ga (0.5000, 0.5000, 0.2489)
Ga (0.5000, 0.5000, 0.7511)
Co (0.0000, 0.0000, 0.0000)
Ni (0.0000, 0.0000, 0.5000)

Top 10 peaks for 2θ from 10° to 90°, sorted by position:
- d = 6.764 Å, rel. 18.4
- d = 4.246 Å, rel. 35.5
- d = 2.744 Å, rel. 57.9
- d = 2.645 Å, rel. 21.7
- d = 2.255 Å, rel. 17.7
- d = 2.245 Å, rel. 100.0
- d = 2.123 Å, rel. 52.9
- d = 1.546 Å, rel. 21.8
- d = 1.501 Å, rel. 17.3
- d = 1.248 Å, rel. 29.9

---

Record 5
Starting from a crystal structure in Alexandria, relaxed with GGA-PBE, the X-ray powder pattern of Pr5Ho12Sc2 was calculated for CuKα.
No peak broadening, texture or thermal motion is included.

Crystal structure
Lattice parameters (Å, degrees): 9.9888 9.9888 9.9179 111.08 111.08 42.44
Element x y z (fractional)
Pr (0.0000, 0.0000, 0.0000)
Pr (0.1878, 0.1878, 0.6921)
Pr (0.3188, 0.3188, 0.2948)
Pr (0.6812, 0.6812, 0.7052)
Pr (0.8122, 0.8122, 0.3079)
Ho (0.0142, 0.0142, 0.7138)
Ho (0.0867, 0.5906, 0.9950)
Ho (0.0915, 0.5945, 0.6378)
Ho (0.4055, 0.9085, 0.3622)
Ho (0.4094, 0.9133, 0.0050)
Ho (0.4979, 0.4979, 0.1861)
Ho (0.5021, 0.5021, 0.8139)
Ho (0.5906, 0.0867, 0.9950)
Ho (0.5945, 0.0915, 0.6378)
Ho (0.9085, 0.4055, 0.3622)
Ho (0.9133, 0.4094, 0.0050)
Ho (0.9858, 0.9858, 0.2862)
Sc (0.3028, 0.6972, 0.5000)
Sc (0.6972, 0.3028, 0.5000)

Top 10 peaks for 2θ from 10° to 90°, sorted by position:
- d = 3.333 Å, rel. 35.4
- d = 3.119 Å, rel. 39.2
- d = 3.050 Å, rel. 48.8
- d = 2.991 Å, rel. 73.8
- d = 2.863 Å, rel. 100.0
- d = 2.851 Å, rel. 42.4
- d = 2.837 Å, rel. 64.0
- d = 2.766 Å, rel. 64.9
- d = 2.662 Å, rel. 34.9
- d = 1.809 Å, rel. 44.6

---

Record 6
Starting from a crystal structure in Alexandria, relaxed with GGA-PBE, the X-ray powder pattern of Na2BiClO2 was calculated for CuKα.
No peak broadening, texture or thermal motion is included.

Crystal structure
Lattice parameters (Å, degrees): 4.5162 4.5162 6.2396 90.00 90.00 90.00
Element x y z (fractional)
Na (0.0000, 0.0000, 0.2139)
Na (0.0000, 0.0000, 0.7861)
Bi (0.5000, 0.5000, 0.0000)
Cl (0.5000, 0.5000, 0.5000)
O (0.0000, 0.5000, 0.0000)
O (0.5000, 0.0000, 0.0000)

Top 10 peaks for 2θ from 10° to 90°, sorted by position:
- d = 6.240 Å, rel. 100.0
- d = 4.516 Å, rel. 78.9
- d = 3.658 Å, rel. 61.8
- d = 3.193 Å, rel. 60.0
- d = 2.843 Å, rel. 28.7
- d = 2.567 Å, rel. 83.2
- d = 2.258 Å, rel. 36.7
- d = 2.123 Å, rel. 27.5
- d = 1.922 Å, rel. 23.6
- d = 1.695 Å, rel. 47.0

---

Which formula does entry 4 have? U2Ga10CoNi